Pr4In16Co3: simulated X-ray diffraction stick pattern (CuKα), based on a cell relaxed with PBE.

Main lines, sorted by position (2θ = 5–70°):
2θ/deg, Rel. int.
30.56, 56
34.68, 100
36.26, 31
38.36, 71
53.81, 38
67.01, 26

Cell and atoms:
```
Pr4In16Co3
1.0
6.6366 0.0000 0.0000
0.0000 6.6366 0.0000
0.0000 0.0000 12.3870
Pr In Co
4 16 3
Cartesian
0.0000 3.3183 2.4306 Pr
0.0000 3.3183 9.9564 Pr
3.3183 0.0000 2.4306 Pr
3.3183 0.0000 9.9564 Pr
0.0000 0.0000 2.4174 In
0.0000 0.0000 9.9695 In
1.5143 1.5143 0.0000 In
1.5143 5.1223 0.0000 In
1.6566 1.6566 4.7605 In
1.6566 1.6566 7.6264 In
1.6566 4.9800 4.7605 In
1.6566 4.9800 7.6264 In
3.3183 3.3183 2.5970 In
3.3183 3.3183 9.7900 In
4.9800 1.6566 4.7605 In
4.9800 1.6566 7.6264 In
4.9800 4.9800 4.7605 In
4.9800 4.9800 7.6264 In
5.1223 1.5143 0.0000 In
5.1223 5.1223 0.0000 In
0.0000 3.3183 6.1935 Co
3.3183 0.0000 6.1935 Co
3.3183 3.3183 0.0000 Co
```



TbPr2HoEr: simulated X-ray diffraction stick pattern (CuKα), based on a cell relaxed with PBE.

Main lines, sorted by position (2θ = 5–70°):
2θ/deg, Rel. int.
26.14, 50
28.90, 54
30.87, 54
32.43, 100
35.46, 45
45.38, 62

Cell and atoms:
```
TbPr2HoEr
1.0
4.2161 -5.7926 0.0000
4.2161 5.7926 0.0000
0.0000 0.0000 7.3062
Tb Pr Ho Er
2 4 2 2
Cartesian
4.2161 5.5483 5.4796 Tb
4.2161 -5.5483 1.8265 Tb
2.5844 0.0000 0.0000 Pr
2.5844 0.0000 3.6531 Pr
5.8477 0.0000 0.0000 Pr
5.8477 0.0000 3.6531 Pr
4.2161 2.7766 1.8265 Ho
4.2161 -2.7766 5.4796 Ho
4.2161 2.4929 5.4796 Er
4.2161 -2.4929 1.8265 Er
```



Ac8Sm3Dy: simulated X-ray diffraction stick pattern (CuKα), based on a cell relaxed with PBE.

Main lines, sorted by position (2θ = 5–70°):
2θ/deg, Rel. int.
28.24, 100
28.31, 33
32.64, 23
32.79, 45
47.04, 34
55.78, 31

Cell and atoms:
```
Ac8Sm3Dy
1.0
6.6911 0.0000 0.0000
2.2142 7.3991 0.0000
2.2043 1.3852 9.9177
Ac Sm Dy
8 3 1
Cartesian
0.0000 0.0000 0.0000 Ac
2.2311 3.3778 6.6375 Ac
1.1520 1.6779 3.3363 Ac
1.1883 3.6705 0.0401 Ac
5.5529 4.3857 4.9709 Ac
5.5865 6.3848 1.6658 Ac
6.7071 6.0699 8.2969 Ac
6.7313 8.0688 5.0071 Ac
10.0087 7.0898 6.6357 Sm
2.2706 5.3739 3.3361 Sm
4.4663 2.6841 1.6638 Sm
5.6102 2.3653 8.2969 Dy
```



LiSb3P6O20: simulated X-ray diffraction stick pattern (CuKα), based on a cell relaxed with PBE.

Main lines, sorted by position (2θ = 5–70°):
2θ/deg, Rel. int.
10.21, 85
15.59, 76
17.03, 100
20.51, 67
21.62, 87
27.37, 74

Cell and atoms:
```
LiSb3P6O20
1.0
5.6844 -6.6869 0.0000
5.6844 6.6869 0.0000
0.0000 0.0000 13.0335
Li Sb P O
2 6 12 40
Cartesian
1.8203 0.0000 0.0000 Li
9.5485 0.0000 6.5167 Li
5.6844 4.6149 9.7751 Sb
5.6844 3.3732 3.2584 Sb
5.0059 0.0000 0.0000 Sb
6.3629 0.0000 6.5167 Sb
5.6844 -3.3732 9.7751 Sb
5.6844 -4.6149 3.2584 Sb
3.5224 2.0703 8.9475 P
5.2707 3.0764 6.7278 P
3.4284 0.5799 2.7877 P
6.0981 3.0764 12.8223 P
3.4284 -0.5799 10.2458 P
3.5224 -2.0703 4.0860 P
7.8464 2.0703 10.6027 P
7.9404 0.5799 3.7290 P
5.2707 -3.0764 6.3056 P
7.9404 -0.5799 9.3044 P
6.0981 -3.0764 0.2111 P
7.8464 -2.0703 2.4308 P
2.0332 2.1018 8.9694 O
2.0267 0.8147 3.2328 O
5.4031 4.3858 7.5162 O
4.2678 3.0291 9.8625 O
4.7659 3.2986 5.3094 O
4.0623 2.1973 7.4446 O
5.9657 4.3858 12.0340 O
2.0267 -0.8147 9.8007 O
4.4394 1.7072 2.7981 O
4.8518 2.1709 12.7531 O
3.3938 0.0254 1.2882 O
3.3938 -0.0254 11.7452 O
4.0930 0.5876 9.3347 O
6.6029 3.2986 1.2073 O
2.0332 -2.1018 4.0641 O
7.1010 3.0291 9.6877 O
4.0930 -0.5876 3.6988 O
6.5170 2.1709 6.7971 O
7.3065 2.1973 12.1055 O
6.9294 1.7072 3.7186 O
4.4394 -1.7072 10.2353 O
4.0623 -2.1973 5.5888 O
4.8518 -2.1709 0.2804 O
7.2758 0.5876 10.2155 O
4.2678 -3.0291 3.1709 O
9.3356 2.1018 10.5808 O
4.7659 -3.2986 7.7241 O
7.2758 -0.5876 2.8179 O
7.9750 0.0254 5.2285 O
7.9750 -0.0254 7.8050 O
6.5170 -2.1709 6.2364 O
6.9294 -1.7072 9.3149 O
9.3421 0.8147 3.2840 O
5.4031 -4.3858 5.5173 O
7.3065 -2.1973 0.9279 O
6.6029 -3.2986 11.8261 O
7.1010 -3.0291 3.3458 O
5.9657 -4.3858 0.9995 O
9.3421 -0.8147 9.7495 O
9.3356 -2.1018 2.4527 O
```